[1]
Simulated powder diffraction line list of K3Ga2Ag3 for Cu Kα (λ = 1.5418 Å), from DFT lattice parameters and positions (GGA-PBE).
Intensities are scaled so that the largest is 100.

Largest 8 diffraction maxima, low angle first, 10 to 80 degrees two-theta:
2θ 18.8, I = 79
2θ 20.0, I = 36
2θ 29.7, I = 67
2θ 32.3, I = 100
2θ 34.3, I = 83
2θ 34.4, I = 66
2θ 38.1, I = 30
2θ 44.9, I = 31

Structure:
Lattice parameters (Å, degrees): 5.235 10.770 15.663 90.00 90.00 90.00
Space group Cmcm (No. 63)
Symmetry-distinct sites (fractional):
K 0.000 0.002 0.250 x4
K 0.000 0.159 0.036 x8
Ga 0.000 0.287 0.671 x8
Ag 0.000 0.303 0.250 x4
Ag 0.000 0.479 0.102 x8



[2]
Simulated powder diffraction line list of Er2ZnGa12 for Cu Kα (λ = 1.5418 Å), from DFT lattice parameters and positions (GGA-PBE).
Intensities are scaled so that the largest is 100.

Largest 8 diffraction maxima, low angle first, 10 to 80 degrees two-theta:
2θ 31.1, I = 100
2θ 31.3, I = 65
2θ 37.6, I = 40
2θ 41.1, I = 68
2θ 41.5, I = 45
2θ 46.6, I = 23
2θ 52.6, I = 36
2θ 69.2, I = 22

Structure:
Lattice parameters (Å, degrees): 6.214 6.214 15.037 90.00 90.00 90.00
Space group P4/nbm (No. 125, origin choice 2)
Symmetry-distinct sites (fractional):
Er 0.250 0.750 0.246 x4
Zn 0.250 0.750 0.000 x2
Ga 0.000 0.000 0.091 x8
Ga 0.084 0.584 0.429 x8
Ga 0.250 0.250 0.184 x4
Ga 0.250 0.250 0.346 x4



[3]
Simulated powder diffraction line list of KInHg11 for Cu Kα (λ = 1.5418 Å), from DFT lattice parameters and positions (GGA-PBE).
Intensities are scaled so that the largest is 100.

Largest 8 diffraction maxima, low angle first, 10 to 80 degrees two-theta:
2θ 32.0, I = 38
2θ 32.2, I = 47
2θ 32.6, I = 68
2θ 33.1, I = 84
2θ 35.7, I = 40
2θ 36.3, I = 62
2θ 36.5, I = 40
2θ 36.8, I = 100

Structure:
Lattice parameters (Å, degrees): 6.427 14.985 8.420 90.00 111.16 90.00
Space group C2/m (No. 12)
Symmetry-distinct sites (fractional):
K 0.000 0.000 0.000 x2
In 0.000 0.500 0.500 x2
Hg 0.000 0.000 0.500 x2
Hg 0.102 0.390 0.217 x8
Hg 0.175 0.177 0.350 x8
Hg 0.250 0.250 0.000 x4



[4]
Simulated powder diffraction line list of CaSi3Pb2Au12 for Cu Kα (λ = 1.5418 Å), from DFT lattice parameters and positions (GGA-PBE).
Intensities are scaled so that the largest is 100.

Largest 8 diffraction maxima, low angle first, 10 to 80 degrees two-theta:
2θ 23.1, I = 25
2θ 24.9, I = 27
2θ 31.1, I = 47
2θ 31.8, I = 66
2θ 35.1, I = 54
2θ 37.7, I = 32
2θ 39.6, I = 100
2θ 51.7, I = 24

Structure:
Lattice parameters (Å, degrees): 9.1142 9.1142 16.8127 90.00 90.00 120.00
Space group R-3m (No. 166, hexagonal axes)
Symmetry-distinct sites (fractional):
Ca 0.0000 0.0000 0.0000 x3
Si 0.0000 0.5000 0.5000 x9
Pb 0.0000 0.0000 0.4062 x6
Au 0.0359 0.5179 0.3570 x18
Au 0.0375 0.5188 0.8155 x18



[5]
Simulated powder diffraction line list of LiDyScGe for Cu Kα (λ = 1.5418 Å), from DFT lattice parameters and positions (GGA-PBE).
Intensities are scaled so that the largest is 100.

Largest 8 diffraction maxima, low angle first, 10 to 80 degrees two-theta:
2θ 22.4, I = 53
2θ 25.9, I = 24
2θ 37.0, I = 100
2θ 43.6, I = 29
2θ 53.3, I = 17
2θ 58.5, I = 12
2θ 66.6, I = 35
2θ 78.7, I = 11

Structure:
Lattice parameters (Å, degrees): 6.878 6.878 6.878 90.00 90.00 90.00
Space group F-43m (No. 216)
Symmetry-distinct sites (fractional):
Li 0.000 0.000 0.000 x4
Dy 0.250 0.250 0.750 x4
Sc 0.250 0.250 0.250 x4
Ge 0.000 0.000 0.500 x4



[6]
Simulated powder diffraction line list of PmAsSe3 for Cu Kα (λ = 1.5418 Å), from DFT lattice parameters and positions (GGA-PBE).
Intensities are scaled so that the largest is 100.

Largest 8 diffraction maxima, low angle first, 10 to 80 degrees two-theta:
2θ 20.1, I = 32
2θ 28.1, I = 42
2θ 30.3, I = 61
2θ 30.4, I = 44
2θ 31.1, I = 100
2θ 33.4, I = 84
2θ 34.9, I = 69
2θ 37.6, I = 36

Structure:
Lattice parameters (Å, degrees): 7.145 7.627 11.524 90.00 120.05 90.00
Space group P2_1/c (No. 14)
Symmetry-distinct sites (fractional):
Pm 0.190 0.134 0.234 x4
As 0.160 0.593 0.079 x4
Se 0.096 0.173 0.936 x4
Se 0.253 0.684 0.913 x4
Se 0.468 0.050 0.790 x4



[7]
Simulated powder diffraction line list of Er3TmSe6 for Cu Kα (λ = 1.5418 Å), from DFT lattice parameters and positions (GGA-PBE).
Intensities are scaled so that the largest is 100.

Largest 8 diffraction maxima, low angle first, 10 to 80 degrees two-theta:
2θ 17.1, I = 42
2θ 23.4, I = 55
2θ 25.0, I = 41
2θ 28.6, I = 52
2θ 34.5, I = 34
2θ 37.7, I = 100
2θ 43.1, I = 32
2θ 44.0, I = 60

Structure:
Lattice parameters (Å, degrees): 7.1253 7.1253 19.3191 90.00 90.00 120.00
Space group R3 (No. 146, hexagonal axes)
Symmetry-distinct sites (fractional):
Er 0.0000 0.0000 0.0000 x3
Er 0.0000 0.0000 0.1945 x3
Er 0.0000 0.0000 0.4996 x3
Tm 0.0000 0.0000 0.6940 x3
Se 0.9997 0.6942 0.5974 x9
Se 0.0276 0.3587 0.7639 x9



[8]
Simulated powder diffraction line list of Th2MnGe4Pt3 for Cu Kα (λ = 1.5418 Å), from DFT lattice parameters and positions (GGA-PBE).
Intensities are scaled so that the largest is 100.

Largest 8 diffraction maxima, low angle first, 10 to 80 degrees two-theta:
2θ 29.5, I = 33
2θ 33.6, I = 88
2θ 34.4, I = 100
2θ 42.2, I = 72
2θ 49.3, I = 36
2θ 54.9, I = 45
2θ 61.1, I = 24
2θ 66.8, I = 29

Structure:
Lattice parameters (Å, degrees): 4.287 4.287 10.238 90.00 90.00 90.00
Space group P-4m2 (No. 115)
Symmetry-distinct sites (fractional):
Th 0.000 0.500 0.240 x2
Mn 0.500 0.500 0.000 x1
Ge 0.000 0.000 0.500 x1
Ge 0.000 0.500 0.874 x2
Ge 0.500 0.500 0.500 x1
Pt 0.000 0.000 0.000 x1
Pt 0.000 0.500 0.631 x2



[9]
Simulated powder diffraction line list of La2Mn3 for Cu Kα (λ = 1.5418 Å), from DFT lattice parameters and positions (GGA-PBE).
Intensities are scaled so that the largest is 100.

Largest 8 diffraction maxima, low angle first, 10 to 80 degrees two-theta:
2θ 25.1, I = 58
2θ 30.2, I = 77
2θ 31.8, I = 75
2θ 32.5, I = 100
2θ 35.0, I = 85
2θ 36.3, I = 87
2θ 37.4, I = 95
2θ 46.4, I = 49

Structure:
Lattice parameters (Å, degrees): 9.798 14.857 5.939 90.00 90.00 90.00
Space group Fdd2 (No. 43)
Symmetry-distinct sites (fractional):
La 0.085 0.298 0.000 x16
Mn 0.000 0.000 0.226 x8
Mn 0.090 0.374 0.522 x16



[10]
Simulated powder diffraction line list of MgTiO for Cu Kα (λ = 1.5418 Å), from DFT lattice parameters and positions (GGA-PBE).
Intensities are scaled so that the largest is 100.

Largest 8 diffraction maxima, low angle first, 10 to 80 degrees two-theta:
2θ 21.7, I = 30
2θ 34.7, I = 37
2θ 36.9, I = 27
2θ 37.1, I = 59
2θ 42.0, I = 100
2θ 43.1, I = 41
2θ 60.3, I = 29
2θ 63.1, I = 21

Structure:
Lattice parameters (Å, degrees): 10.057 2.964 5.393 90.00 104.15 90.00
Space group Cm (No. 8)
Symmetry-distinct sites (fractional):
Mg 0.000 0.000 0.000 x2
Mg 0.236 0.000 0.727 x2
Ti 0.255 0.500 0.243 x2
Ti 0.474 0.000 0.461 x2
O 0.125 0.500 0.875 x2
O 0.368 0.500 0.641 x2



[11]
Simulated powder diffraction line list of In6Hg12Cl for Cu Kα (λ = 1.5418 Å), from DFT lattice parameters and positions (GGA-PBE).
Intensities are scaled so that the largest is 100.

Largest 8 diffraction maxima, low angle first, 10 to 80 degrees two-theta:
2θ 29.1, I = 31
2θ 30.9, I = 100
2θ 31.2, I = 27
2θ 33.4, I = 41
2θ 34.5, I = 49
2θ 35.4, I = 59
2θ 36.2, I = 18
2θ 37.8, I = 21

Structure:
Lattice parameters (Å, degrees): 7.825 7.856 8.907 80.38 87.84 88.66
Space group P-1 (No. 2)
Symmetry-distinct sites (fractional):
In 0.143 0.264 0.250 x2
In 0.260 0.099 0.700 x2
In 0.270 0.705 0.853 x2
Hg 0.012 0.795 0.083 x2
Hg 0.126 0.480 0.633 x2
Hg 0.342 0.586 0.335 x2
Hg 0.358 0.962 0.149 x2
Hg 0.398 0.339 0.952 x2
Hg 0.500 0.208 0.431 x2
Cl 0.000 0.000 0.500 x1



[12]
Simulated powder diffraction line list of NpHg3Cl6 for Cu Kα (λ = 1.5418 Å), from DFT lattice parameters and positions (GGA-PBE).
Intensities are scaled so that the largest is 100.

Largest 8 diffraction maxima, low angle first, 10 to 80 degrees two-theta:
2θ 16.2, I = 22
2θ 18.8, I = 76
2θ 28.3, I = 62
2θ 29.8, I = 36
2θ 34.1, I = 100
2θ 48.1, I = 44
2θ 50.0, I = 22
2θ 61.9, I = 20

Structure:
Lattice parameters (Å, degrees): 6.3204 6.3204 9.4561 90.00 90.00 120.00
Space group P-31m (No. 162)
Symmetry-distinct sites (fractional):
Np 0.0000 0.0000 0.0000 x1
Hg 0.0000 0.0000 0.5000 x1
Hg 0.3333 0.6667 0.5000 x2
Cl 0.0000 0.3158 0.8443 x6



Number 3 is which compound?
KInHg11